1.
For AlB2, a cell relaxed with PBE gives the theoretical X-ray diffraction stick pattern in this record (Cu Kα (λ = 1.5418 Å)).

Most intense lines, 2θ = 5–70°, low angle first:
| (hkl) | Position (°2θ) | d/Å | I_rel |
| --- | --- | --- | --- |
| 0 0 1 | 27.23 | 3.274 | 5 |
| 1 0 0 | 34.44 | 2.604 | 32 |
| 1 0 1 | 44.45 | 2.038 | 100 |
| 0 0 2 | 56.18 | 1.637 | 11 |
| 1 1 0 | 61.69 | 1.503 | 26 |
| 1 0 2 | 67.59 | 1.386 | 10 |
| 1 1 1 | 68.70 | 1.366 | 4 |

```
data_AlB2
_space_group_name_H-M_alt 'P 1'
_space_group_IT_number 1
_cell_length_a 3.007
_cell_length_b 3.007
_cell_length_c 3.274
_cell_angle_alpha 90.00
_cell_angle_beta 90.00
_cell_angle_gamma 120.00
loop_
_space_group_symop_operation_xyz
'x,y,z'
loop_
_atom_site_label
_atom_site_type_symbol
_atom_site_fract_x
_atom_site_fract_y
_atom_site_fract_z
Al1 Al 0.000 0.000 0.000
B1 B 0.333 0.667 0.500
B2 B 0.667 0.333 0.500
```


2.
For BaAlBO3F2, a cell relaxed with PBE gives the theoretical X-ray diffraction stick pattern in this record (Cu Kα (λ = 1.5418 Å)).

Most intense lines, 2θ = 5–70°, low angle first:
| (hkl) | Position (°2θ) | d/Å | I_rel |
| --- | --- | --- | --- |
| 1 0 0 | 20.78 | 4.275 | 39 |
| 1 0 2 | 27.91 | 3.197 | 100 |
| 1 1 0 | 36.40 | 2.468 | 43 |
| 0 0 4 | 37.34 | 2.408 | 19 |
| 1 1 2 | 41.09 | 2.197 | 39 |
| 1 0 4 | 43.12 | 2.098 | 18 |
| 2 0 2 | 46.47 | 1.954 | 23 |
| 1 1 4 | 53.14 | 1.724 | 19 |
| 2 1 2 | 60.43 | 1.532 | 20 |
| 1 0 6 | 61.72 | 1.503 | 14 |

```
data_BaAlBO3F2
_space_group_name_H-M_alt 'P 1'
_space_group_IT_number 1
_cell_length_a 4.937
_cell_length_b 4.937
_cell_length_c 9.632
_cell_angle_alpha 90.00
_cell_angle_beta 90.00
_cell_angle_gamma 120.00
loop_
_space_group_symop_operation_xyz
'x,y,z'
loop_
_atom_site_label
_atom_site_type_symbol
_atom_site_fract_x
_atom_site_fract_y
_atom_site_fract_z
Ba1 Ba 0.000 0.000 0.000
Ba2 Ba 0.000 0.000 0.500
Al1 Al 0.333 0.667 0.250
Al2 Al 0.667 0.333 0.750
B1 B 0.333 0.667 0.750
B2 B 0.667 0.333 0.250
O1 O 0.055 0.385 0.750
O2 O 0.329 0.945 0.750
O3 O 0.385 0.329 0.250
O4 O 0.615 0.671 0.750
O5 O 0.671 0.055 0.250
O6 O 0.945 0.615 0.250
F1 F 0.333 0.667 0.056
F2 F 0.333 0.667 0.444
F3 F 0.667 0.333 0.556
F4 F 0.667 0.333 0.944
```


3.
For BaAlBO3F2, a cell relaxed with PBE gives the theoretical X-ray diffraction stick pattern in this record (Cu Kα (λ = 1.5418 Å)).

Most intense lines, 2θ = 5–70°, low angle first:
| (hkl) | Position (°2θ) | d/Å | I_rel |
| --- | --- | --- | --- |
| 1 0 0 | 20.77 | 4.277 | 40 |
| 1 0 2 | 27.94 | 3.193 | 100 |
| 1 1 0 | 36.38 | 2.469 | 45 |
| 0 0 4 | 37.47 | 2.400 | 19 |
| 1 1 2 | 41.11 | 2.196 | 42 |
| 1 0 4 | 43.22 | 2.093 | 18 |
| 2 0 2 | 46.49 | 1.953 | 21 |
| 1 1 4 | 53.22 | 1.721 | 21 |
| 2 1 2 | 60.42 | 1.532 | 20 |
| 1 0 6 | 61.91 | 1.499 | 14 |

```
data_BaAlBO3F2
_space_group_name_H-M_alt 'P 1'
_space_group_IT_number 1
_cell_length_a 4.939
_cell_length_b 4.939
_cell_length_c 9.601
_cell_angle_alpha 90.00
_cell_angle_beta 90.00
_cell_angle_gamma 120.00
loop_
_space_group_symop_operation_xyz
'x,y,z'
loop_
_atom_site_label
_atom_site_type_symbol
_atom_site_fract_x
_atom_site_fract_y
_atom_site_fract_z
Ba1 Ba 0.000 0.000 0.000
Ba2 Ba 0.000 0.000 0.500
Al1 Al 0.333 0.667 0.250
Al2 Al 0.667 0.333 0.750
B1 B 0.333 0.667 0.750
B2 B 0.667 0.333 0.250
O1 O 0.055 0.385 0.750
O2 O 0.329 0.945 0.750
O3 O 0.385 0.055 0.250
O4 O 0.615 0.671 0.750
O5 O 0.671 0.615 0.250
O6 O 0.945 0.329 0.250
F1 F 0.333 0.667 0.056
F2 F 0.333 0.667 0.444
F3 F 0.667 0.333 0.556
F4 F 0.667 0.333 0.944
```


4.
For Ba2Nd2Al3B12O27, a cell relaxed with PBE gives the theoretical X-ray diffraction stick pattern in this record (Cu Kα (λ = 1.5418 Å)).

Most intense lines, 2θ = 5–70°, low angle first:
| (hkl) | Position (°2θ) | d/Å | I_rel |
| --- | --- | --- | --- |
| 0 0 2 | 6.78 | 13.039 | 95 |
| 1 0 0 | 21.96 | 4.048 | 60 |
| 1 0 2 | 23.01 | 3.866 | 85 |
| 1 0 5 | 27.90 | 3.198 | 71 |
| 1 0 6 | 30.17 | 2.962 | 55 |
| 1 0 7 | 32.67 | 2.741 | 100 |
| 1 1 0 | 38.52 | 2.337 | 48 |
| 2 0 0 | 44.78 | 2.024 | 34 |
| 1 1 7 | 45.84 | 1.980 | 41 |
| 2 1 7 | 66.01 | 1.415 | 23 |

```
data_Ba2Nd2Al3B12O27
_space_group_name_H-M_alt 'P 1'
_space_group_IT_number 1
_cell_length_a 4.674
_cell_length_b 4.674
_cell_length_c 26.077
_cell_angle_alpha 90.00
_cell_angle_beta 90.00
_cell_angle_gamma 120.00
loop_
_space_group_symop_operation_xyz
'x,y,z'
loop_
_atom_site_label
_atom_site_type_symbol
_atom_site_fract_x
_atom_site_fract_y
_atom_site_fract_z
Ba1 Ba 0.000 0.000 0.149
Ba2 Ba 0.000 0.000 0.851
Nd1 Nd 0.000 0.000 0.301
Nd2 Nd 0.000 0.000 0.699
Al1 Al 0.000 0.626 0.500
Al2 Al 0.374 0.374 0.500
Al3 Al 0.626 0.000 0.500
B1 B 0.333 0.667 0.056
B2 B 0.333 0.667 0.227
B3 B 0.333 0.667 0.389
B4 B 0.333 0.667 0.611
B5 B 0.333 0.667 0.773
B6 B 0.333 0.667 0.944
B7 B 0.667 0.333 0.056
B8 B 0.667 0.333 0.227
B9 B 0.667 0.333 0.389
B10 B 0.667 0.333 0.611
B11 B 0.667 0.333 0.773
B12 B 0.667 0.333 0.944
O1 O 0.000 0.000 0.500
O2 O 0.000 0.411 0.375
O3 O 0.000 0.411 0.625
O4 O 0.000 0.417 0.254
O5 O 0.000 0.417 0.746
O6 O 0.000 0.422 0.057
O7 O 0.000 0.422 0.943
O8 O 0.333 0.667 0.176
O9 O 0.333 0.667 0.455
O10 O 0.333 0.667 0.545
O11 O 0.333 0.667 0.824
O12 O 0.411 0.000 0.375
O13 O 0.411 0.000 0.625
O14 O 0.417 0.000 0.254
O15 O 0.417 0.000 0.746
O16 O 0.422 0.000 0.057
O17 O 0.422 0.000 0.943
O18 O 0.578 0.578 0.057
O19 O 0.578 0.578 0.943
O20 O 0.583 0.583 0.254
O21 O 0.583 0.583 0.746
O22 O 0.589 0.589 0.375
O23 O 0.589 0.589 0.625
O24 O 0.667 0.333 0.176
O25 O 0.667 0.333 0.455
O26 O 0.667 0.333 0.545
O27 O 0.667 0.333 0.824
```